This entry pairs a crystal structure of Ta3Sb4 with its computed X-ray powder pattern. Radiation: Cu Kα (weighted mean of Kα1 and Kα2). Structure: a GGA-PBE-relaxed structure.
No peak broadening, texture or thermal motion is included.

Main lines, sorted by position (10 to 80 degrees two-theta):
| 2θ/deg | I/Imax | hkl |
| --- | --- | --- |
| 15.76 | 6 | 0 0 4 |
| 27.33 | 3 | 1 0 3 |
| 35.01 | 67 | 1 1 0 |
| 37.40 | 100 | 1 0 7 |
| 50.35 | 24 | 2 0 0 |
| 51.29 | 3 | 1 0 11 |
| 57.34 | 5 | 0 0 14 |
| 64.37 | 41 | 2 1 7 |
| 67.60 | 4 | 1 0 15 |
| 68.98 | 12 | 1 1 14 |
| 73.96 | 8 | 2 2 0 |
| 79.76 | 8 | 2 0 14 |

Atomic structure:
Lattice parameters (Å, degrees): 3.625 3.625 22.497 90.00 90.00 90.00
Space group I4/mmm (No. 139)
Symmetry-distinct sites (fractional):
Ta 0.000 0.000 0.000 (multiplicity 2)
Ta 0.000 0.000 0.290 (multiplicity 4)
Sb 0.000 0.000 0.157 (multiplicity 4)
Sb 0.000 0.000 0.432 (multiplicity 4)

This entry pairs a crystal structure of Ta5Sb with its computed X-ray powder pattern. Radiation: Cu Kα (weighted mean of Kα1 and Kα2). Structure: a GGA-PBE-relaxed structure.
No peak broadening, texture or thermal motion is included.

Main lines, sorted by position (10 to 80 degrees two-theta):
| 2θ/deg | I/Imax | hkl |
| --- | --- | --- |
| 37.17 | 100 | 1 1 -2 |
| 38.11 | 94 | 3 1 0 |
| 38.69 | 45 | 2 0 2 |
| 38.88 | 43 | 4 0 -2 |
| 52.53 | 19 | 0 2 0 |
| 54.62 | 16 | 2 0 -4 |
| 67.12 | 18 | 2 2 2 |
| 67.24 | 17 | 4 2 -2 |
| 68.42 | 17 | 1 1 4 |
| 68.67 | 16 | 5 1 -4 |
| 70.25 | 16 | 5 1 2 |
| 70.50 | 15 | 7 1 -2 |

Atomic structure:
Lattice parameters (Å, degrees): 10.189 3.484 6.721 90.00 108.99 90.00
Space group C2/m (No. 12)
Symmetry-distinct sites (fractional):
Ta 0.000 0.000 0.000 (multiplicity 2)
Ta 0.165 0.500 0.838 (multiplicity 4)
Ta 0.174 0.500 0.324 (multiplicity 4)
Sb 0.000 0.000 0.500 (multiplicity 2)

This entry pairs a crystal structure of Ta3V8Sb with its computed X-ray powder pattern. Radiation: Cu Kα (weighted mean of Kα1 and Kα2). Structure: a GGA-PBE-relaxed structure.
No peak broadening, texture or thermal motion is included.

Main lines, sorted by position (10 to 80 degrees two-theta):
| 2θ/deg | I/Imax | hkl |
| --- | --- | --- |
| 20.27 | 23 | 1 0 0 |
| 22.98 | 19 | 1 0 1 |
| 29.73 | 16 | 1 0 2 |
| 35.48 | 71 | 1 1 0 |
| 38.63 | 100 | 1 0 3 |
| 41.20 | 16 | 2 0 0 |
| 41.88 | 90 | 1 1 2 |
| 42.70 | 45 | 0 2 1 |
| 65.81 | 40 | 2 1 3 |
| 68.10 | 24 | 0 0 6 |
| 71.55 | 24 | 0 2 5 |
| 75.10 | 19 | 2 2 0 |

Atomic structure:
Lattice parameters (Å, degrees): 5.0600 5.0600 8.2570 90.00 90.00 120.00
Space group P3m1 (No. 156)
Symmetry-distinct sites (fractional):
Ta 0.0000 0.0000 0.0000 (multiplicity 1)
Ta 0.0000 0.0000 0.3678 (multiplicity 1)
Ta 0.3333 0.6667 0.8803 (multiplicity 1)
V 0.0043 0.5021 0.1838 (multiplicity 3)
V 0.3269 0.1635 0.6905 (multiplicity 3)
V 0.6667 0.3333 0.4329 (multiplicity 1)
V 0.6667 0.3333 0.9355 (multiplicity 1)
Sb 0.3333 0.6667 0.5026 (multiplicity 1)

This entry pairs a crystal structure of TaZnSb with its computed X-ray powder pattern. Radiation: Cu Kα (weighted mean of Kα1 and Kα2). Structure: a GGA-PBE-relaxed structure.
No peak broadening, texture or thermal motion is included.

Main lines, sorted by position (10 to 80 degrees two-theta):
| 2θ/deg | I/Imax | hkl |
| --- | --- | --- |
| 21.30 | 10 | 0 0 2 |
| 26.06 | 21 | 1 0 1 |
| 32.14 | 26 | 0 0 3 |
| 33.82 | 32 | 1 1 0 |
| 35.54 | 32 | 1 1 1 |
| 40.35 | 100 | 1 0 3 |
| 48.58 | 31 | 2 0 0 |
| 59.46 | 13 | 2 0 3 |
| 60.75 | 14 | 1 0 5 |
| 64.96 | 27 | 2 1 3 |
| 71.15 | 10 | 2 2 0 |
| 77.52 | 7 | 1 1 6 |

Atomic structure:
Lattice parameters (Å, degrees): 3.748 3.748 8.344 90.00 90.00 90.00
Space group P4/nmm (No. 129, origin choice 2)
Symmetry-distinct sites (fractional):
Ta 0.250 0.250 0.240 (multiplicity 2)
Zn 0.250 0.750 0.500 (multiplicity 2)
Sb 0.250 0.250 0.879 (multiplicity 2)

This entry pairs a crystal structure of TbSb3 with its computed X-ray powder pattern. Radiation: Cu Kα (weighted mean of Kα1 and Kα2). Structure: a GGA-PBE-relaxed structure.
No peak broadening, texture or thermal motion is included.

Main lines, sorted by position (10 to 80 degrees two-theta):
| 2θ/deg | I/Imax | hkl |
| --- | --- | --- |
| 18.59 | 1 | 1 0 0 |
| 26.40 | 1 | 1 1 0 |
| 32.49 | 100 | 1 1 1 |
| 37.69 | 50 | 2 0 0 |
| 42.34 | 1 | 2 1 0 |
| 46.60 | 1 | 2 1 1 |
| 54.36 | 34 | 2 2 0 |
| 64.77 | 40 | 3 1 1 |
| 68.03 | 12 | 2 2 2 |

Atomic structure:
Lattice parameters (Å, degrees): 4.774 4.774 4.774 90.00 90.00 90.00
Space group Pm-3m (No. 221)
Symmetry-distinct sites (fractional):
Tb 0.000 0.000 0.000 (multiplicity 1)
Sb 0.000 0.500 0.500 (multiplicity 3)

This entry pairs a crystal structure of Tb3Sb4 with its computed X-ray powder pattern. Radiation: Cu Kα (weighted mean of Kα1 and Kα2). Structure: a GGA-PBE-relaxed structure.
No peak broadening, texture or thermal motion is included.

Main lines, sorted by position (10 to 80 degrees two-theta):
| 2θ/deg | I/Imax | hkl |
| --- | --- | --- |
| 23.28 | 10 | 0 1 2 |
| 25.93 | 38 | 0 1 5 |
| 30.28 | 75 | 0 1 8 |
| 39.92 | 100 | 1 1 0 |
| 48.23 | 7 | 2 0 5 |
| 50.92 | 18 | 2 0 8 |
| 53.47 | 7 | 0 0 21 |
| 57.72 | 15 | 0 2 13 |
| 64.34 | 6 | 1 2 5 |
| 66.60 | 16 | 1 2 8 |
| 68.77 | 21 | 1 1 21 |
| 72.49 | 28 | 3 0 0 |

Atomic structure:
Lattice parameters (Å, degrees): 4.5157 4.5157 35.9867 90.00 90.00 120.00
Space group R-3m (No. 166, hexagonal axes)
Symmetry-distinct sites (fractional):
Tb 0.0000 0.0000 0.0000 (multiplicity 3)
Tb 0.0000 0.0000 0.2387 (multiplicity 6)
Sb 0.0000 0.0000 0.1469 (multiplicity 6)
Sb 0.0000 0.0000 0.3816 (multiplicity 6)

This entry pairs a crystal structure of Tb3Sb with its computed X-ray powder pattern. Radiation: Cu Kα (weighted mean of Kα1 and Kα2). Structure: a GGA-PBE-relaxed structure.
No peak broadening, texture or thermal motion is included.

Main lines, sorted by position (10 to 80 degrees two-theta):
| 2θ/deg | I/Imax | hkl |
| --- | --- | --- |
| 29.63 | 100 | 2 3 1 |
| 30.45 | 54 | 3 3 0 |
| 30.69 | 71 | 1 1 2 |
| 32.14 | 74 | 2 4 0 |
| 33.01 | 90 | 4 1 1 |
| 35.51 | 36 | 2 2 2 |
| 36.79 | 42 | 5 1 0 |
| 37.00 | 52 | 1 3 2 |
| 51.70 | 19 | 2 3 3 |
| 52.06 | 17 | 3 5 2 |
| 60.49 | 28 | 1 7 2 |
| 61.51 | 19 | 6 4 2 |

Atomic structure:
Lattice parameters (Å, degrees): 12.457 12.457 6.174 90.00 90.00 90.00
Space group P4_2/n (No. 86, origin choice 2)
Symmetry-distinct sites (fractional):
Tb 0.035 0.576 0.236 (multiplicity 8)
Tb 0.107 0.219 0.032 (multiplicity 8)
Tb 0.141 0.667 0.716 (multiplicity 8)
Sb 0.050 0.207 0.538 (multiplicity 8)

This entry pairs a crystal structure of Tb3SbTe3 with its computed X-ray powder pattern. Radiation: Cu Kα (weighted mean of Kα1 and Kα2). Structure: a GGA-PBE-relaxed structure.
No peak broadening, texture or thermal motion is included.

Main lines, sorted by position (10 to 80 degrees two-theta):
| 2θ/deg | I/Imax | hkl |
| --- | --- | --- |
| 16.39 | 29 | 0 0 6 |
| 22.80 | 16 | 1 1 0 |
| 28.21 | 100 | 2 -1 6 |
| 40.04 | 32 | 3 0 0 |
| 40.60 | 46 | 1 1 12 |
| 43.53 | 9 | 3 0 6 |
| 49.69 | 15 | 2 2 6 |
| 50.66 | 7 | 0 0 18 |
| 56.22 | 8 | 1 1 18 |
| 58.34 | 12 | 4 -2 12 |
| 65.64 | 9 | 5 -1 6 |
| 66.43 | 10 | 3 0 18 |

Atomic structure:
Lattice parameters (Å, degrees): 7.8015 7.8015 32.4458 90.00 90.00 120.00
Space group R-3 (No. 148, hexagonal axes)
Symmetry-distinct sites (fractional):
Tb 0.0000 0.3754 0.0617 (multiplicity 18)
Sb 0.0000 0.0000 0.3333 (multiplicity 6)
Te 0.9999 0.3000 0.8937 (multiplicity 18)

This entry pairs a crystal structure of Tb4Sb3Te with its computed X-ray powder pattern. Radiation: Cu Kα (weighted mean of Kα1 and Kα2). Structure: a GGA-PBE-relaxed structure.
No peak broadening, texture or thermal motion is included.

Main lines, sorted by position (10 to 80 degrees two-theta):
| 2θ/deg | I/Imax | hkl |
| --- | --- | --- |
| 24.82 | 3 | 1 1 1 |
| 28.74 | 100 | 2 0 0 |
| 41.09 | 76 | 2 2 0 |
| 48.60 | 2 | 3 1 1 |
| 50.91 | 27 | 2 2 2 |
| 59.51 | 13 | 4 0 0 |
| 65.48 | 1 | 3 3 1 |
| 67.41 | 35 | 4 2 0 |
| 74.87 | 26 | 4 2 2 |

Atomic structure:
Lattice parameters (Å, degrees): 6.213 6.213 6.213 90.00 90.00 90.00
Space group Pm-3m (No. 221)
Symmetry-distinct sites (fractional):
Tb 0.000 0.000 0.000 (multiplicity 1)
Tb 0.000 0.500 0.500 (multiplicity 3)
Sb 0.000 0.000 0.500 (multiplicity 3)
Te 0.500 0.500 0.500 (multiplicity 1)

This entry pairs a crystal structure of Tb5SbTe4 with its computed X-ray powder pattern. Radiation: Cu Kα (weighted mean of Kα1 and Kα2). Structure: a GGA-PBE-relaxed structure.
No peak broadening, texture or thermal motion is included.

Main lines, sorted by position (10 to 80 degrees two-theta):
| 2θ/deg | I/Imax | hkl |
| --- | --- | --- |
| 28.72 | 49 | 0 0 10 |
| 28.89 | 100 | 1 1 0 |
| 41.19 | 74 | 1 1 10 |
| 41.31 | 38 | 2 0 0 |
| 51.09 | 40 | 2 0 10 |
| 59.49 | 6 | 0 0 20 |
| 59.85 | 13 | 2 2 0 |
| 67.46 | 16 | 1 1 20 |
| 67.72 | 17 | 2 2 10 |
| 67.80 | 17 | 3 1 0 |
| 75.00 | 12 | 2 0 20 |
| 75.24 | 25 | 3 1 10 |

Atomic structure:
Lattice parameters (Å, degrees): 4.371 4.371 31.079 90.00 90.00 90.00
Space group I4/mmm (No. 139)
Symmetry-distinct sites (fractional):
Tb 0.000 0.000 0.000 (multiplicity 2)
Tb 0.000 0.000 0.204 (multiplicity 4)
Tb 0.000 0.000 0.403 (multiplicity 4)
Sb 0.000 0.000 0.500 (multiplicity 2)
Te 0.000 0.000 0.102 (multiplicity 4)
Te 0.000 0.000 0.303 (multiplicity 4)

This entry pairs a crystal structure of TbSbTe4 with its computed X-ray powder pattern. Radiation: Cu Kα (weighted mean of Kα1 and Kα2). Structure: a GGA-PBE-relaxed structure.
No peak broadening, texture or thermal motion is included.

Main lines, sorted by position (10 to 80 degrees two-theta):
| 2θ/deg | I/Imax | hkl |
| --- | --- | --- |
| 14.82 | 64 | 1 0 0 |
| 17.14 | 53 | 0 2 0 |
| 20.68 | 25 | 0 2 1 |
| 24.65 | 34 | 0 1 2 |
| 28.35 | 31 | 0 3 1 |
| 29.00 | 25 | 2 0 -1 |
| 33.88 | 27 | 2 2 -1 |
| 34.67 | 28 | 0 4 0 |
| 34.93 | 100 | 0 0 3 |
| 39.21 | 35 | 2 3 -1 |
| 40.63 | 27 | 2 1 -3 |
| 46.59 | 16 | 2 2 2 |

Atomic structure:
Lattice parameters (Å, degrees): 6.205 10.349 8.001 90.00 105.56 90.00
Space group P2_1/m (No. 11)
Symmetry-distinct sites (fractional):
Tb 0.034 0.250 0.148 (multiplicity 2)
Sb 0.254 0.750 0.441 (multiplicity 2)
Te 0.041 0.057 0.849 (multiplicity 4)
Te 0.191 0.250 0.546 (multiplicity 2)
Te 0.450 0.750 0.806 (multiplicity 2)